# Mn3SbO8
Computed powder diffraction line list, Cu Kα X-rays. Input: a DFT-relaxed cell (PBE+U, the Materials Project).
No peak broadening, texture or thermal motion is included.

Cell and atoms:
a b c (Å): 6.0793 6.0793 14.5563
angles (deg): 90.00 90.00 120.00
Space group R-3m (No. 166, hexagonal axes)
Inequivalent atoms, fractional coordinates:
1 Mn 0.0000 0.5000 0.0000
2 Sb 0.0000 0.0000 0.0000
3 O 0.0000 0.0000 0.2731
4 O 0.0007 0.5003 0.7350

Peak list (6 most intense, 10 to 90 degrees two-theta, in order of falling intensity)
18.3 deg, intensity 100.0, (0 0 3)
42.4 deg, intensity 47.4, (0 2 4)
34.6 deg, intensity 39.4, (0 2 1)
64.2 deg, intensity 16.3, (2 2 3)
56.4 deg, intensity 15.9, (0 2 7)
61.0 deg, intensity 14.7, (2 2 0)